This entry pairs a crystal structure of Cu3MoSO9 with its simulated powder XRD pattern. Radiation: a wavelength of 1.5418 Å. Structure: a cell relaxed with PBE+U.

Largest 10 diffraction maxima, by intensity, 10 to 80 degrees two-theta:
- 2θ 28.58, rel. 100, hkl 1 0 4
- 2θ 25.90, rel. 70, hkl 0 2 0
- 2θ 35.32, rel. 59, hkl 2 2 0
- 2θ 29.27, rel. 49, hkl 1 2 1
- 2θ 26.97, rel. 43, hkl 2 0 2
- 2θ 38.95, rel. 37, hkl 1 2 4
- 2θ 34.76, rel. 35, hkl 1 0 5
- 2θ 26.21, rel. 33, hkl 1 1 3
- 2θ 23.59, rel. 33, hkl 2 0 0
- 2θ 24.48, rel. 32, hkl 2 0 1

Crystal structure
Cell lengths 7.5437, 6.8797, 13.7258 Å; angles 90.00, 90.00, 90.00 degrees
Element x y z (fractional)
Cu 0.0000 0.0000 0.0000
Cu 0.0000 0.5000 0.0000
Cu 0.1566 0.2500 0.1590
Cu 0.1737 0.7500 0.4464
Cu 0.3263 0.2500 0.9464
Cu 0.3434 0.7500 0.6590
Cu 0.5000 0.0000 0.5000
Cu 0.5000 0.5000 0.5000
Cu 0.6566 0.2500 0.3410
Cu 0.6737 0.7500 0.0536
Cu 0.8263 0.2500 0.5536
Cu 0.8434 0.7500 0.8410
Mo 0.2475 0.2500 0.6853
Mo 0.2525 0.7500 0.1853
Mo 0.7475 0.2500 0.8147
Mo 0.7525 0.7500 0.3147
S 0.1677 0.2500 0.3998
S 0.3323 0.7500 0.8998
S 0.6677 0.2500 0.1002
S 0.8323 0.7500 0.6002
O 0.0281 0.7500 0.5905
O 0.0390 0.2500 0.6247
O 0.1038 0.2500 0.0182
O 0.1296 0.5308 0.1515
O 0.1296 0.9692 0.1515
O 0.2012 0.2500 0.8112
O 0.2256 0.2500 0.2965
O 0.2426 0.0741 0.4497
O 0.2426 0.4259 0.4497
O 0.2574 0.5741 0.9497
O 0.2574 0.9259 0.9497
O 0.2744 0.7500 0.7965
O 0.2988 0.7500 0.3112
O 0.3704 0.0308 0.6515
O 0.3704 0.4692 0.6515
O 0.3962 0.7500 0.5182
O 0.4610 0.7500 0.1247
O 0.4719 0.2500 0.0905
O 0.5281 0.7500 0.9095
O 0.5390 0.2500 0.8753
O 0.6038 0.2500 0.4818
O 0.6296 0.5308 0.3485
O 0.6296 0.9692 0.3485
O 0.7012 0.2500 0.6888
O 0.7256 0.2500 0.2035
O 0.7426 0.0741 0.0503
O 0.7426 0.4259 0.0503
O 0.7574 0.5741 0.5503
O 0.7574 0.9259 0.5503
O 0.7744 0.7500 0.7035
O 0.7988 0.7500 0.1888
O 0.8704 0.0308 0.8485
O 0.8704 0.4692 0.8485
O 0.8962 0.7500 0.9818
O 0.9610 0.7500 0.3753
O 0.9719 0.2500 0.4095